The following is a simulated powder X-ray diffraction pattern of Fe6BMo6C. It was derived from a cell relaxed with GGA-PBE, using CuKα.
No peak broadening, texture or thermal motion is included.

Cell and atoms:
```
data_Fe6BMo6C
_chemical_formula_sum 'Fe24 B4 Mo24 C4'
_cell_length_a 7.834
_cell_length_b 7.850
_cell_length_c 11.124
_cell_angle_alpha 90.00
_cell_angle_beta 90.00
_cell_angle_gamma 90.00
_symmetry_space_group_name_H-M 'I m m a'
_symmetry_Int_Tables_number 74
_symmetry_space_group_name_Hall '-I 2b 2'
loop_
_atom_site_label
_atom_site_type_symbol
_atom_site_fract_x
_atom_site_fract_y
_atom_site_fract_z
Fe1 Fe 0.000 0.000 0.000
Fe2 Fe 0.000 0.096 0.202
Fe3 Fe 0.155 0.250 0.047
Fe4 Fe 0.250 0.250 0.250
B1 B 0.250 0.250 0.750
Mo1 Mo 0.000 0.250 0.424
Mo2 Mo 0.000 0.250 0.831
Mo3 Mo 0.202 0.044 0.624
C1 C 0.000 0.000 0.500
```

Top 8 peaks for 2θ = 10–80°, sorted by position:
two_theta	Rel. int.	index
32.29	16	2 2 0
35.24	27	1 2 3
39.75	46	0 2 4
39.83	22	3 1 2
42.24	60	0 3 3
42.34	100	3 0 3
46.24	64	0 4 0
72.20	27	3 5 2